The following is a calculated powder X-ray diffraction pattern of V2Cd2O7. It was derived from the PBE+U geometry in the Materials Project, using λ = 1.5418 Å (Cu Kα).
Neutral-atom scattering factors, no anomalous dispersion.

Atomic structure:
```
data_V2Cd2O7
_space_group_name_H-M_alt 'C 1 2/m 1'
_space_group_IT_number 12
_space_group_name_Hall '-C 2y'
_cell_length_a 7.1485
_cell_length_b 9.2376
_cell_length_c 5.1013
_cell_angle_alpha 90.00
_cell_angle_beta 103.49
_cell_angle_gamma 90.00
loop_
_atom_site_label
_atom_site_type_symbol
_atom_site_fract_x
_atom_site_fract_y
_atom_site_fract_z
V1 V 0.2259 0.0000 0.4059
Cd1 Cd 0.0000 0.3080 0.0000
O1 O 0.0000 0.0000 0.5000
O2 O 0.1031 0.5000 0.2897
O3 O 0.2344 0.1549 0.2176
```

Principal peaks in the range 2θ from 15° to 90°, in order of rising 2θ:
d/Å	I_rel
5.554	21.1
4.961	25.8
3.399	39.3
3.380	100.0
3.221	61.4
2.815	30.4
2.777	33.6
2.249	25.6
1.780	22.9
1.637	20.4


The following is a calculated powder X-ray diffraction pattern of AlCr2O4. It was derived from the PBE+U geometry in the Materials Project, using λ = 1.5418 Å (Cu Kα).
Neutral-atom scattering factors, no anomalous dispersion.

Atomic structure:
```
data_AlCr2O4
_space_group_name_H-M_alt 'P -1'
_space_group_IT_number 2
_space_group_name_Hall '-P 1'
_cell_length_a 5.2776
_cell_length_b 5.5004
_cell_length_c 6.2589
_cell_angle_alpha 112.02
_cell_angle_beta 110.80
_cell_angle_gamma 97.77
loop_
_atom_site_label
_atom_site_type_symbol
_atom_site_fract_x
_atom_site_fract_y
_atom_site_fract_z
Al1 Al 0.1809 0.4321 0.3621
Cr1 Cr 0.0000 0.0000 0.5000
Cr2 Cr 0.5000 0.0000 0.0000
Cr3 Cr 0.5000 0.0000 0.5000
Cr4 Cr 0.5000 0.5000 0.0000
O1 O 0.0982 0.9278 0.7988
O2 O 0.1413 0.4103 0.6654
O3 O 0.2947 0.6346 0.2016
O4 O 0.4697 0.2445 0.3309
```

Principal peaks in the range 2θ from 15° to 90°, in order of rising 2θ:
d/Å	I_rel
4.691	25.5
4.654	25.2
2.907	33.6
2.879	24.0
2.424	100.0
2.404	44.2
2.346	22.5
2.327	23.0
1.600	26.1
1.551	20.8


The following is a calculated powder X-ray diffraction pattern of MnCo9O10. It was derived from the PBE+U geometry in the Materials Project, using λ = 1.5418 Å (Cu Kα).
Neutral-atom scattering factors, no anomalous dispersion.

Atomic structure:
```
data_MnCo9O10
_space_group_name_H-M_alt 'C 1 2/m 1'
_space_group_IT_number 12
_space_group_name_Hall '-C 2y'
_cell_length_a 15.9268
_cell_length_b 3.0530
_cell_length_c 8.6391
_cell_angle_alpha 90.00
_cell_angle_beta 105.76
_cell_angle_gamma 90.00
loop_
_atom_site_label
_atom_site_type_symbol
_atom_site_fract_x
_atom_site_fract_y
_atom_site_fract_z
Mn1 Mn 0.0000 0.0000 0.0000
Co1 Co 0.0000 0.0000 0.5000
Co2 Co 0.1004 0.5000 0.7979
Co3 Co 0.1019 0.5000 0.3030
Co4 Co 0.2000 0.0000 0.5994
Co5 Co 0.2016 0.0000 0.1014
O1 O 0.9998 0.0000 0.2559
O2 O 0.1012 0.5000 0.5493
O3 O 0.1040 0.5000 0.0533
O4 O 0.1982 0.0000 0.8497
O5 O 0.2010 0.0000 0.3498
```

Principal peaks in the range 2θ from 15° to 90°, in order of rising 2θ:
d/Å	I_rel
2.500	35.1
2.493	34.8
2.162	100.0
1.533	9.7
1.528	48.0
1.306	9.0
1.303	17.9
1.250	8.9
1.247	8.9


The following is a calculated powder X-ray diffraction pattern of EuWO2. It was derived from the PBE+U geometry in the Materials Project, using λ = 1.5418 Å (Cu Kα).
Neutral-atom scattering factors, no anomalous dispersion.

Atomic structure:
```
data_EuWO2
_space_group_name_H-M_alt 'I 41/a m d'
_space_group_IT_number 141
_cell_length_a 6.5166
_cell_length_b 6.5166
_cell_length_c 12.3608
_cell_angle_alpha 90.00
_cell_angle_beta 90.00
_cell_angle_gamma 90.00
loop_
_space_group_symop_operation_xyz
'x,y,z'
'-x,-y,-z'
'-y+1/4,x+3/4,z+1/4'
'y+1/4,-x+3/4,-z+1/4'
'-x+1/2,-y,z+1/2'
'x+1/2,y,-z+1/2'
'y+1/4,-x+1/4,z+3/4'
'-y+1/4,x+1/4,-z+3/4'
'x,-y,-z'
'-x,y,z'
'-y+1/4,-x+1/4,-z+3/4'
'y+1/4,x+1/4,z+3/4'
'-x+1/2,y,-z+1/2'
'x+1/2,-y,z+1/2'
'y+1/4,x+3/4,-z+1/4'
'-y+1/4,-x+3/4,z+1/4'
'x+1/2,y+1/2,z+1/2'
'-x+1/2,-y+1/2,-z+1/2'
'-y+3/4,x+1/4,z+3/4'
'y+3/4,-x+1/4,-z+3/4'
'-x,-y+1/2,z'
'x,y+1/2,-z'
'y+3/4,-x+3/4,z+1/4'
'-y+3/4,x+3/4,-z+1/4'
'x+1/2,-y+1/2,-z+1/2'
'-x+1/2,y+1/2,z+1/2'
'-y+3/4,-x+3/4,-z+1/4'
'y+3/4,x+3/4,z+1/4'
'-x,y+1/2,-z'
'x,-y+1/2,z'
'y+3/4,x+1/4,-z+3/4'
'-y+3/4,-x+1/4,z+3/4'
loop_
_atom_site_label
_atom_site_type_symbol
_atom_site_fract_x
_atom_site_fract_y
_atom_site_fract_z
Eu1 Eu 0.0000 0.0000 0.0000
W1 W 0.0000 0.0000 0.5000
O1 O 0.0000 0.0355 0.2026
```

Principal peaks in the range 2θ from 15° to 90°, in order of rising 2θ:
d/Å	I_rel
3.090	38.4
2.882	100.0
2.304	37.7
1.847	34.8
1.741	28.2
1.629	12.5
1.441	15.3
1.418	25.2
1.283	9.1
1.190	16.2


The following is a calculated powder X-ray diffraction pattern of ZnFe2O4. It was derived from the PBE+U geometry in the Materials Project, using λ = 1.5418 Å (Cu Kα).
Neutral-atom scattering factors, no anomalous dispersion.

Atomic structure:
```
data_ZnFe2O4
_space_group_name_H-M_alt 'P 1 m 1'
_space_group_IT_number 6
_space_group_name_Hall 'P -2y'
_cell_length_a 5.0572
_cell_length_b 5.8967
_cell_length_c 10.2326
_cell_angle_alpha 90.00
_cell_angle_beta 90.40
_cell_angle_gamma 90.00
loop_
_atom_site_label
_atom_site_type_symbol
_atom_site_fract_x
_atom_site_fract_y
_atom_site_fract_z
Zn1 Zn 0.0000 0.0000 0.0000
Zn2 Zn 0.0672 0.5000 0.5000
Zn3 Zn 0.3889 0.5000 0.0002
Zn4 Zn 0.6823 0.0000 0.5010
Fe1 Fe 0.0282 0.5000 0.7617
Fe2 Fe 0.0287 0.5000 0.2366
Fe3 Fe 0.0473 0.0000 0.2654
Fe4 Fe 0.0484 0.0000 0.7372
Fe5 Fe 0.5383 0.2525 0.2499
Fe6 Fe 0.5385 0.2506 0.7507
O1 O 0.1993 0.2485 0.8598
O2 O 0.2024 0.2556 0.1367
O3 O 0.3360 0.5000 0.6522
O4 O 0.3382 0.5000 0.3470
O5 O 0.3873 0.0000 0.6436
O6 O 0.3884 0.0000 0.3567
O7 O 0.6921 0.5000 0.8574
O8 O 0.6925 0.5000 0.1434
O9 O 0.7393 0.0000 0.1531
O10 O 0.7387 0.0000 0.8475
O11 O 0.8740 0.2595 0.3621
O12 O 0.8766 0.2503 0.6402
```

Principal peaks in the range 2θ from 15° to 90°, in order of rising 2θ:
d/Å	I_rel
5.116	73.5
3.601	45.0
3.588	44.6
2.557	100.0
2.546	81.5
2.283	38.8
2.276	52.9
1.808	46.5
1.803	84.5
1.463	47.9